1.
Starting from a DFT-relaxed cell (GGA-PBE, Alexandria), the powder X-ray diffraction pattern of Sr2CaTl2Pb4 was calculated for Cu Kα.

Largest 10 diffraction maxima, sorted by position, 2θ = 10–90°:
2theta  I/Imax  index
14.44  14.9  1 0 1
16.60  31.3  0 0 2
28.81  90.5  0 2 2
29.11  88.3  2 0 2
33.56  100.0  0 0 4
43.98  19.3  2 3 1
44.27  22.1  3 0 3
48.18  38.8  2 2 4
57.01  25.2  0 2 6
57.52  15.9  4 2 2

Crystal structure
abc: 7.4877 7.6040 10.6983
angles: 90.00 90.00 90.00
Space group Immm (No. 71)
Asymmetric unit:
Sr (0.0000, 0.0000, 0.2481) [4 per cell]
Ca (0.0000, 0.5000, 0.5000) [2 per cell]
Tl (0.0000, 0.5000, 0.2168) [4 per cell]
Pb (0.2136, 0.2867, 0.0000) [8 per cell]


2.
Starting from a DFT-relaxed cell (GGA-PBE, Alexandria), the powder X-ray diffraction pattern of CaTe5Pb4 was calculated for Cu Kα.

Largest 10 diffraction maxima, sorted by position, 2θ = 10–90°:
2theta  I/Imax  index
27.32  100.0  1 0 5
39.00  65.2  1 2 5
39.09  13.0  2 0 0
48.22  14.2  0 2 10
48.35  14.2  2 2 0
56.37  13.4  0 4 0
63.75  24.8  1 4 5
63.85  6.2  3 0 5
70.59  13.7  0 4 10
70.77  13.8  3 2 5

Crystal structure
abc: 4.6084 6.5272 23.1338
angles: 90.00 90.00 90.00
Space group Immm (No. 71)
Asymmetric unit:
Ca (0.0000, 0.0000, 0.0000) [2 per cell]
Te (0.0000, 0.5000, 0.0000) [2 per cell]
Te (0.0000, 0.5000, 0.2006) [4 per cell]
Te (0.0000, 0.5000, 0.4031) [4 per cell]
Pb (0.0000, 0.0000, 0.1992) [4 per cell]
Pb (0.0000, 0.0000, 0.4003) [4 per cell]


3.
Starting from a DFT-relaxed cell (GGA-PBE, Alexandria), the powder X-ray diffraction pattern of CaTe3Pb2 was calculated for Cu Kα.

Largest 10 diffraction maxima, sorted by position, 2θ = 10–90°:
2theta  I/Imax  index
15.05  8.7  0 1 1
27.39  100.0  0 2 0
39.01  13.0  0 0 6
39.14  64.8  2 0 0
48.34  14.1  0 2 6
48.49  14.1  2 2 0
56.48  8.8  2 0 6
63.96  30.5  3 0 3
70.75  8.9  1 2 9
70.94  13.5  3 2 3

Crystal structure
abc: 4.5983 6.5051 13.8528
angles: 90.00 90.00 90.00
Space group Immm (No. 71)
Asymmetric unit:
Ca (0.0000, 0.0000, 0.0000) [2 per cell]
Te (0.0000, 0.5000, 0.0000) [2 per cell]
Te (0.0000, 0.5000, 0.3382) [4 per cell]
Pb (0.0000, 0.0000, 0.3328) [4 per cell]


4.
Starting from a DFT-relaxed cell (GGA-PBE, Alexandria), the powder X-ray diffraction pattern of Ca2TePb was calculated for Cu Kα.

Largest 10 diffraction maxima, sorted by position, 2θ = 10–90°:
2theta  I/Imax  index
20.91  37.6  1 0 -1
25.13  44.4  0 1 1
25.38  21.7  1 0 1
27.89  51.0  0 0 2
28.09  100.0  1 1 0
37.19  47.4  1 1 -2
37.70  22.8  2 0 0
42.53  32.4  0 2 0
42.66  32.2  1 1 2
51.59  18.7  0 2 2

Crystal structure
abc: 4.8676 4.2554 6.5258
angles: 90.00 101.34 90.00
Space group P2/m (No. 10)
Asymmetric unit:
Ca (0.0000, 0.0000, 0.0000) [1 per cell]
Ca (0.5000, 0.5000, 0.5000) [1 per cell]
Te (0.0000, 0.0000, 0.5000) [1 per cell]
Pb (0.5000, 0.5000, 0.0000) [1 per cell]


5.
Starting from a DFT-relaxed cell (GGA-PBE, Alexandria), the powder X-ray diffraction pattern of Ca5Te6Pb was calculated for Cu Kα.

Largest 10 diffraction maxima, sorted by position, 2θ = 10–90°:
2theta  I/Imax  index
13.57  5.3  1 1 0
23.97  15.0  0 0 2
27.74  100.0  1 3 1
39.64  75.8  2 0 2
46.85  7.9  2 0 -4
49.07  27.0  0 0 4
57.31  12.6  2 6 2
64.84  34.3  0 6 4
71.93  25.1  1 3 5
85.40  8.0  2 6 -6

Crystal structure
abc: 7.8773 13.6439 7.8738
angles: 90.00 109.47 90.00
Space group C2/m (No. 12)
Asymmetric unit:
Ca (0.0000, 0.0000, 0.0000) [2 per cell]
Ca (0.0000, 0.1676, 0.5000) [4 per cell]
Ca (0.0000, 0.3359, 0.0000) [4 per cell]
Te (0.2453, 0.0000, 0.7520) [4 per cell]
Te (0.2463, 0.1691, 0.2468) [8 per cell]
Pb (0.0000, 0.5000, 0.5000) [2 per cell]


6.
Starting from a DFT-relaxed cell (GGA-PBE, Alexandria), the powder X-ray diffraction pattern of Ca2TePb2 was calculated for Cu Kα.

Largest 10 diffraction maxima, sorted by position, 2θ = 10–90°:
2theta  I/Imax  index
19.49  57.0  0 0 1
23.64  40.0  2 1 0
30.82  100.0  2 1 1
33.67  44.1  3 1 0
38.57  14.8  3 2 0
39.20  36.8  3 1 1
39.57  18.7  0 0 2
43.57  19.0  3 2 1
52.91  24.4  3 1 2
62.86  15.4  5 2 1

Crystal structure
abc: 8.4164 8.4164 4.5551
angles: 90.00 90.00 90.00
Space group P4/mbm (No. 127)
Asymmetric unit:
Ca (0.1720, 0.3280, 0.0000) [4 per cell]
Te (0.0000, 0.0000, 0.5000) [2 per cell]
Pb (0.1306, 0.6306, 0.5000) [4 per cell]